1.
For RuN5Cl3, a DFT-relaxed cell (GGA-PBE, the Materials Project) gives the calculated X-ray diffraction stick pattern in this record (CuKα).

Structural model:
```
data_RuN5Cl3
_chemical_formula_sum 'Ru4 N20 Cl12'
_cell_length_a 16.603
_cell_length_b 6.198
_cell_length_c 7.534
_cell_angle_alpha 90.00
_cell_angle_beta 90.00
_cell_angle_gamma 90.00
_space_group_name_H-M_alt 'P n m a'
_space_group_IT_number 62
loop_
_space_group_symop_operation_xyz
'x,y,z'
'-x,-y,-z'
'-x+1/2,-y,z+1/2'
'x+1/2,y,-z+1/2'
'x+1/2,-y+1/2,-z+1/2'
'-x+1/2,y+1/2,z+1/2'
'-x,y+1/2,-z'
'x,-y+1/2,z'
loop_
_atom_site_label
_atom_site_fract_x
_atom_site_fract_y
_atom_site_fract_z
Ru1 0.149 0.250 0.152
N1 0.069 0.750 0.629
N2 0.076 0.011 0.167
N3 0.202 0.250 0.957
N4 0.213 0.250 0.331
Cl1 0.061 0.750 0.191
Cl2 0.125 0.525 0.629
```

Main lines, low angle first (10° ≤ 2θ ≤ 90°):
2θ/deg  I (rel.)  h k l
19.30  53  1 1 1
21.41  100  4 0 0
24.23  81  1 0 2
25.83  64  4 1 0
28.67  68  3 0 2
33.06  62  2 2 1

2.
For KZnPO4, a DFT-relaxed cell (GGA-PBE, the Materials Project) gives the calculated X-ray diffraction stick pattern in this record (CuKα).

Structural model:
```
data_KZnPO4
_chemical_formula_sum 'K4 Zn4 P4 O16'
_cell_length_a 8.774
_cell_length_b 9.177
_cell_length_c 5.357
_cell_angle_alpha 90.00
_cell_angle_beta 90.00
_cell_angle_gamma 90.00
_space_group_name_H-M_alt 'P n a 21'
_space_group_IT_number 33
loop_
_space_group_symop_operation_xyz
'x,y,z'
'-x,-y,z+1/2'
'-x+1/2,y+1/2,z+1/2'
'x+1/2,-y+1/2,z'
loop_
_atom_site_label
_atom_site_fract_x
_atom_site_fract_y
_atom_site_fract_z
K1 0.003 0.224 0.000
Zn1 0.188 0.589 0.993
P1 0.209 0.425 0.497
O1 0.035 0.409 0.517
O2 0.222 0.788 0.868
O3 0.222 0.944 0.264
O4 0.246 0.062 0.839
```

Main lines, low angle first (10° ≤ 2θ ≤ 90°):
2θ/deg  I (rel.)  h k l
13.96  50  1 1 0
27.54  59  1 2 1
28.03  100  2 1 1
28.14  53  2 2 0
33.45  49  0 0 2
33.74  97  0 3 1

3.
For Re3Pd, a DFT-relaxed cell (GGA-PBE, the Materials Project) gives the calculated X-ray diffraction stick pattern in this record (CuKα).

Structural model:
```
data_Re3Pd
_chemical_formula_sum 'Re6 Pd2'
_cell_length_a 5.5788
_cell_length_b 5.5788
_cell_length_c 4.4425
_cell_angle_alpha 90.00
_cell_angle_beta 90.00
_cell_angle_gamma 120.00
_space_group_name_H-M_alt 'P 63/m m c'
_space_group_IT_number 194
_space_group_name_Hall '-P 6c 2c'
loop_
_atom_site_label
_atom_site_fract_x
_atom_site_fract_y
_atom_site_fract_z
Re1 0.1597 0.3194 0.2500
Pd1 0.3333 0.6667 0.7500
```

Main lines, low angle first (10° ≤ 2θ ≤ 90°):
2θ/deg  I (rel.)  h k l
37.22  24  2 0 0
40.62  26  0 0 2
42.60  100  2 0 1
67.11  17  2 2 0
75.27  19  2 0 3
81.49  20  2 2 2

4.
For Cd2Te2O7, a DFT-relaxed cell (GGA-PBE, the Materials Project) gives the calculated X-ray diffraction stick pattern in this record (CuKα).

Structural model:
```
data_Cd2Te2O7
_chemical_formula_sum 'Cd8 Te8 O28'
_cell_length_a 7.549
_cell_length_b 8.507
_cell_length_c 10.131
_cell_angle_alpha 86.63
_cell_angle_beta 78.85
_cell_angle_gamma 77.19
_space_group_name_H-M_alt 'P -1'
_space_group_IT_number 2
loop_
_space_group_symop_operation_xyz
'x,y,z'
'-x,-y,-z'
loop_
_atom_site_label
_atom_site_fract_x
_atom_site_fract_y
_atom_site_fract_z
Cd1 0.000 0.000 0.000
Cd2 0.191 0.348 0.890
Cd3 0.256 0.491 0.492
Cd4 0.307 0.624 0.114
Cd5 0.500 0.000 0.000
Te1 0.042 0.168 0.646
Te2 0.120 0.268 0.235
Te3 0.377 0.724 0.772
Te4 0.441 0.899 0.349
O1 0.004 0.819 0.162
O2 0.042 0.353 0.412
O3 0.063 0.463 0.133
O4 0.114 0.806 0.756
O5 0.201 0.694 0.343
O6 0.207 0.154 0.067
O7 0.210 0.050 0.329
O8 0.232 0.288 0.643
O9 0.319 0.845 0.935
O10 0.358 0.334 0.224
O11 0.368 0.533 0.888
O12 0.411 0.937 0.664
O13 0.430 0.615 0.606
O14 0.495 0.182 0.827
```

Main lines, low angle first (10° ≤ 2θ ≤ 90°):
2θ/deg  I (rel.)  h k l
28.26  47  0 2 -2
28.89  100  2 2 1
28.98  49  2 -1 0
33.11  22  2 0 3
33.36  22  2 1 -2
33.50  19  0 3 1

5.
For KSn4S3ClO12, a DFT-relaxed cell (GGA-PBE, the Materials Project) gives the calculated X-ray diffraction stick pattern in this record (CuKα).

Structural model:
```
data_KSn4S3ClO12
_chemical_formula_sum 'K2 Sn8 S6 Cl2 O24'
_cell_length_a 10.1985
_cell_length_b 10.1985
_cell_length_c 8.3533
_cell_angle_alpha 90.00
_cell_angle_beta 90.00
_cell_angle_gamma 120.00
_space_group_name_H-M_alt 'P 63'
_space_group_IT_number 173
loop_
_space_group_symop_operation_xyz
'x,y,z'
'x-y,x,z+1/2'
'-y,x-y,z'
'-x,-y,z+1/2'
'-x+y,-x,z'
'y,-x+y,z+1/2'
loop_
_atom_site_label
_atom_site_fract_x
_atom_site_fract_y
_atom_site_fract_z
K1 0.3333 0.6667 0.0000
Sn1 0.0183 0.8020 0.2735
Sn2 0.3333 0.6667 0.4831
S1 0.0456 0.4093 0.2814
Cl1 0.0000 0.0000 0.0225
O1 0.0897 0.3462 0.4237
O2 0.0959 0.3620 0.1334
O3 0.1163 0.6423 0.7780
O4 0.1376 0.5807 0.2964
```

Main lines, low angle first (10° ≤ 2θ ≤ 90°):
2θ/deg  I (rel.)  h k l
14.60  25  1 0 1
21.27  25  0 0 2
27.61  38  1 1 2
28.80  100  1 2 1
41.50  27  2 2 2
42.27  40  2 1 3